Theoretical powder X-ray diffraction pattern of Tl4SnBi for Cu Kα, from the GGA-PBE geometry in Alexandria.
Neutral-atom scattering factors, no anomalous dispersion.

Main lines, sorted by position (15° ≤ 2θ ≤ 90°):
| Position (°2θ) | I_rel | index |
| --- | --- | --- |
| 28.1 | 49 | 2 2 -1 |
| 30.7 | 68 | 0 0 2 |
| 31.8 | 100 | 0 6 1 |
| 36.0 | 47 | 2 4 0 |
| 36.1 | 44 | 2 4 -2 |
| 54.8 | 21 | 2 10 -1 |
| 55.3 | 21 | 0 6 3 |
| 64.1 | 19 | 0 0 4 |

Structure:
Cell: 6.7144 19.3208 6.7016 Å, 90.00 119.78 90.00°
Space group C2/c (No. 15)
Symmetry-distinct sites (fractional):
Tl (0.2472, 0.0337, 0.2447) x8
Tl (0.2477, 0.2162, 0.2451) x8
Sn (0.0000, 0.1252, 0.7500) x4
Bi (0.0000, 0.3749, 0.2500) x4



Theoretical powder X-ray diffraction pattern of Tl6Sn2Bi for Cu Kα, from the GGA-PBE geometry in Alexandria.
Neutral-atom scattering factors, no anomalous dispersion.

Main lines, sorted by position (15° ≤ 2θ ≤ 90°):
| Position (°2θ) | I_rel | index |
| --- | --- | --- |
| 29.5 | 62 | 0 0 9 |
| 29.8 | 58 | 1 0 0 |
| 32.7 | 93 | 1 0 4 |
| 34.2 | 100 | 1 0 5 |
| 42.5 | 39 | 1 0 9 |
| 52.9 | 42 | 1 1 0 |
| 56.4 | 25 | 1 0 14 |
| 61.8 | 48 | 1 1 9 |

Structure:
Cell: 3.4596 3.4596 27.2320 Å, 90.00 90.00 120.00°
Space group P-6m2 (No. 187)
Symmetry-distinct sites (fractional):
Tl (0.0000, 0.0000, 0.0645) x2
Tl (0.0000, 0.0000, 0.2701) x2
Tl (0.3333, 0.6667, 0.3899) x2
Sn (0.3333, 0.6667, 0.1675) x2
Bi (0.0000, 0.0000, 0.5000) x1



Theoretical powder X-ray diffraction pattern of Tl8SnBi2 for Cu Kα, from the GGA-PBE geometry in Alexandria.
Neutral-atom scattering factors, no anomalous dispersion.

Main lines, sorted by position (15° ≤ 2θ ≤ 90°):
| Position (°2θ) | I_rel | index |
| --- | --- | --- |
| 28.2 | 17 | 0 2 1 |
| 29.3 | 13 | 3 1 1 |
| 29.4 | 13 | 5 1 -1 |
| 32.1 | 100 | 2 2 1 |
| 32.2 | 17 | 6 0 0 |
| 33.5 | 9 | 1 3 0 |
| 33.8 | 34 | 2 0 -2 |
| 59.4 | 12 | 6 2 -3 |

Structure:
Cell: 17.4933 8.1352 5.3068 Å, 90.00 107.42 90.00°
Space group C2 (No. 5)
Symmetry-distinct sites (fractional):
Tl (0.0000, 0.0000, 0.0000) x2
Tl (0.0000, 0.3010, 0.5000) x2
Tl (0.1163, 0.6481, 0.6160) x4
Tl (0.1600, 0.3416, 0.1598) x4
Tl (0.1929, 0.8430, 0.1923) x4
Sn (0.0000, 0.5889, 0.0000) x2
Bi (0.1614, 0.0723, 0.6613) x4



Theoretical powder X-ray diffraction pattern of Tl4SnBi2 for Cu Kα, from the GGA-PBE geometry in Alexandria.
Neutral-atom scattering factors, no anomalous dispersion.

Main lines, sorted by position (15° ≤ 2θ ≤ 90°):
| Position (°2θ) | I_rel | index |
| --- | --- | --- |
| 30.5 | 68 | 1 0 3 |
| 30.8 | 66 | 1 0 -4 |
| 31.5 | 100 | 1 1 -1 |
| 33.8 | 31 | 0 1 3 |
| 35.0 | 48 | 2 0 -1 |
| 39.1 | 35 | 0 1 4 |
| 53.1 | 29 | 0 2 0 |
| 62.5 | 18 | 1 2 3 |

Structure:
Cell: 5.1323 3.4496 12.6393 Å, 90.00 101.10 90.00°
Space group P2/m (No. 10)
Symmetry-distinct sites (fractional):
Tl (0.0687, 0.0000, 0.1361) x2
Tl (0.3559, 0.5000, 0.7159) x2
Sn (0.5000, 0.5000, 0.0000) x1
Bi (0.2112, 0.0000, 0.4208) x2



Theoretical powder X-ray diffraction pattern of Tl4Sn4Bi for Cu Kα, from the GGA-PBE geometry in Alexandria.
Neutral-atom scattering factors, no anomalous dispersion.

Main lines, sorted by position (15° ≤ 2θ ≤ 90°):
| Position (°2θ) | I_rel | index |
| --- | --- | --- |
| 31.2 | 100 | 1 0 3 |
| 31.5 | 98 | 1 3 0 |
| 36.0 | 37 | 2 0 0 |
| 36.6 | 66 | 0 3 3 |
| 52.2 | 48 | 2 3 3 |
| 61.7 | 15 | 3 0 3 |
| 62.4 | 28 | 1 3 6 |
| 62.9 | 28 | 1 6 3 |

Structure:
Cell: 4.9943 10.3554 10.4857 Å, 90.00 90.00 90.00°
Space group Immm (No. 71)
Symmetry-distinct sites (fractional):
Tl (0.0000, 0.0000, 0.1716) x4
Tl (0.0000, 0.3297, 0.5000) x4
Sn (0.0000, 0.3391, 0.1610) x8
Bi (0.0000, 0.0000, 0.5000) x2



Theoretical powder X-ray diffraction pattern of Tm5SnBi2 for Cu Kα, from the GGA-PBE geometry in Alexandria.
Neutral-atom scattering factors, no anomalous dispersion.

Main lines, sorted by position (15° ≤ 2θ ≤ 90°):
| Position (°2θ) | I_rel | index |
| --- | --- | --- |
| 30.4 | 63 | 2 0 0 |
| 30.5 | 46 | 1 1 4 |
| 31.5 | 25 | 0 4 1 |
| 33.6 | 100 | 1 3 3 |
| 36.1 | 15 | 1 1 5 |
| 44.3 | 20 | 2 4 1 |
| 56.1 | 24 | 3 3 3 |
| 64.5 | 14 | 2 4 7 |

Structure:
Cell: 5.8879 11.5972 14.1337 Å, 90.00 90.00 90.00°
Space group Cmcm (No. 63)
Symmetry-distinct sites (fractional):
Tm (0.0000, 0.0754, 0.1010) x8
Tm (0.0000, 0.3792, 0.0516) x8
Tm (0.0000, 0.4216, 0.7500) x4
Sn (0.0000, 0.2721, 0.2500) x4
Bi (0.0000, 0.1992, 0.6137) x8



Theoretical powder X-ray diffraction pattern of Tm5Sn2Bi for Cu Kα, from the GGA-PBE geometry in Alexandria.
Neutral-atom scattering factors, no anomalous dispersion.

Main lines, sorted by position (15° ≤ 2θ ≤ 90°):
| Position (°2θ) | I_rel | index |
| --- | --- | --- |
| 19.4 | 8 | 1 1 1 |
| 29.6 | 19 | 1 1 4 |
| 32.0 | 9 | 0 4 1 |
| 33.9 | 100 | 2 0 0 |
| 34.5 | 15 | 1 1 5 |
| 34.7 | 14 | 0 0 6 |
| 49.3 | 10 | 2 0 6 |
| 60.6 | 17 | 3 3 3 |

Structure:
Cell: 5.2963 11.3701 15.4920 Å, 90.00 90.00 90.00°
Space group Cmcm (No. 63)
Symmetry-distinct sites (fractional):
Tm (0.0000, 0.0560, 0.2500) x4
Tm (0.0000, 0.1186, 0.5545) x8
Tm (0.0000, 0.4241, 0.5917) x8
Sn (0.0000, 0.2731, 0.1117) x8
Bi (0.0000, 0.2333, 0.7500) x4



Theoretical powder X-ray diffraction pattern of Tm4SnBi3 for Cu Kα, from the GGA-PBE geometry in Alexandria.
Neutral-atom scattering factors, no anomalous dispersion.

Main lines, sorted by position (15° ≤ 2θ ≤ 90°):
| Position (°2θ) | I_rel | index |
| --- | --- | --- |
| 20.1 | 2 | 1 1 0 |
| 28.6 | 100 | 2 0 0 |
| 40.9 | 78 | 2 2 0 |
| 50.7 | 28 | 2 2 2 |
| 59.2 | 13 | 4 0 0 |
| 67.0 | 37 | 4 2 0 |
| 74.5 | 28 | 4 2 2 |
| 88.6 | 9 | 4 4 0 |

Structure:
Cell: 6.2425 6.2425 6.2425 Å, 90.00 90.00 90.00°
Space group Pm-3m (No. 221)
Symmetry-distinct sites (fractional):
Tm (0.0000, 0.0000, 0.0000) x1
Tm (0.0000, 0.5000, 0.5000) x3
Sn (0.5000, 0.5000, 0.5000) x1
Bi (0.0000, 0.0000, 0.5000) x3



Theoretical powder X-ray diffraction pattern of VSnBi for Cu Kα, from the GGA-PBE geometry in Alexandria.
Neutral-atom scattering factors, no anomalous dispersion.

Main lines, sorted by position (15° ≤ 2θ ≤ 90°):
| Position (°2θ) | I_rel | index |
| --- | --- | --- |
| 32.5 | 28 | 2 0 0 |
| 33.2 | 100 | 1 1 3 |
| 33.6 | 73 | 1 3 1 |
| 37.6 | 21 | 2 2 0 |
| 41.4 | 22 | 0 2 4 |
| 41.8 | 17 | 0 4 2 |
| 42.0 | 24 | 2 2 2 |
| 58.4 | 21 | 3 1 3 |

Structure:
Cell: 5.5108 9.6389 9.7876 Å, 90.00 90.00 90.00°
Space group Fmmm (No. 69)
Symmetry-distinct sites (fractional):
V (0.2500, 0.2500, 0.2500) x8
Sn (0.0000, 0.1589, 0.0000) x8
Bi (0.0000, 0.0000, 0.3423) x8



Theoretical powder X-ray diffraction pattern of Zn2SnBi for Cu Kα, from the GGA-PBE geometry in Alexandria.
Neutral-atom scattering factors, no anomalous dispersion.

Main lines, sorted by position (15° ≤ 2θ ≤ 90°):
| Position (°2θ) | I_rel | index |
| --- | --- | --- |
| 23.8 | 45 | 1 0 1 |
| 25.4 | 78 | 0 1 2 |
| 34.4 | 100 | 0 1 5 |
| 40.9 | 85 | 1 1 0 |
| 42.6 | 53 | 1 0 7 |
| 54.5 | 27 | 2 0 5 |
| 70.3 | 26 | 1 2 5 |
| 77.3 | 23 | 1 1 12 |

Structure:
Cell: 4.4101 4.4101 17.8666 Å, 90.00 90.00 120.00°
Space group R3m (No. 160, hexagonal axes)
Symmetry-distinct sites (fractional):
Zn (0.0000, 0.0000, 0.0000) x3
Zn (0.0000, 0.0000, 0.1509) x3
Sn (0.0000, 0.0000, 0.4017) x3
Bi (0.0000, 0.0000, 0.5755) x3



Theoretical powder X-ray diffraction pattern of Zr6SnBi for Cu Kα, from the GGA-PBE geometry in Alexandria.
Neutral-atom scattering factors, no anomalous dispersion.

Main lines, sorted by position (15° ≤ 2θ ≤ 90°):
| Position (°2θ) | I_rel | index |
| --- | --- | --- |
| 22.2 | 19 | 0 1 2 |
| 31.5 | 58 | 2 0 2 |
| 35.3 | 47 | 2 1 1 |
| 35.4 | 47 | 2 -1 3 |
| 38.8 | 100 | 3 0 0 |
| 39.0 | 33 | 1 0 4 |
| 61.0 | 36 | 2 3 2 |
| 65.8 | 21 | 4 0 4 |

Structure:
Cell: 8.0389 8.0389 9.7907 Å, 90.00 90.00 120.00°
Space group R-3 (No. 148, hexagonal axes)
Symmetry-distinct sites (fractional):
Zr (0.0025, 0.7508, 0.2507) x18
Sn (0.0000, 0.0000, 0.5000) x3
Bi (0.0000, 0.0000, 0.0000) x3



Theoretical powder X-ray diffraction pattern of Sr3Bi5 for Cu Kα, from the GGA-PBE geometry in Alexandria.
Neutral-atom scattering factors, no anomalous dispersion.

Main lines, sorted by position (15° ≤ 2θ ≤ 90°):
| Position (°2θ) | I_rel | index |
| --- | --- | --- |
| 18.9 | 92 | 1 3 1 |
| 28.0 | 100 | 0 6 2 |
| 30.4 | 30 | 1 1 5 |
| 32.8 | 55 | 1 3 5 |
| 33.9 | 24 | 0 2 6 |
| 35.0 | 26 | 2 2 4 |
| 36.8 | 52 | 2 6 0 |
| 42.7 | 28 | 3 1 3 |

Structure:
Cell: 6.9228 20.7257 16.4247 Å, 90.00 90.00 90.00°
Space group Fdd2 (No. 43)
Symmetry-distinct sites (fractional):
Sr (0.0000, 0.0000, 0.0000) x8
Sr (0.0234, 0.1700, 0.5118) x16
Bi (0.0000, 0.0000, 0.4664) x8
Bi (0.0062, 0.1653, 0.0911) x16
Bi (0.0793, 0.1915, 0.8991) x16